No. 1
Diffraction record for Bi2Mo2Se2O13. The powder diffraction line list is calculated, not measured: it uses a GGA+U-relaxed structure and Cu Kα (weighted mean of Kα1 and Kα2).
Peak positions follow from Bragg's law for the DFT cell and can differ from measured ones.

Cell and atoms:
Unit cell a=6.682 b=7.082 c=12.185 alpha=90.98 beta=96.16 gamma=91.58
Space group P-1 (No. 2)
Symmetry-distinct sites (fractional):
Bi  0.125  0.421  0.337 (multiplicity 2)
Bi  0.312  0.870  0.892 (multiplicity 2)
Mo  0.241  0.910  0.184 (multiplicity 2)
Mo  0.390  0.324  0.692 (multiplicity 2)
Se  0.267  0.434  0.059 (multiplicity 2)
Se  0.325  0.764  0.583 (multiplicity 2)
O  0.019  0.083  0.859 (multiplicity 2)
O  0.090  0.380  0.149 (multiplicity 2)
O  0.139  0.647  0.501 (multiplicity 2)
O  0.148  0.406  0.715 (multiplicity 2)
O  0.191  0.798  0.695 (multiplicity 2)
O  0.252  0.682  0.052 (multiplicity 2)
O  0.275  0.089  0.288 (multiplicity 2)
O  0.291  0.691  0.281 (multiplicity 2)
O  0.343  0.197  0.568 (multiplicity 2)
O  0.344  0.048  0.064 (multiplicity 2)
O  0.426  0.138  0.798 (multiplicity 2)
O  0.486  0.570  0.627 (multiplicity 2)
O  0.499  0.423  0.138 (multiplicity 2)

Largest 8 diffraction maxima, low angle first, 10° ≤ 2θ ≤ 80°:
two_theta  intensity  hkl
14.4  626  0 1 -1
18.0  302  1 -1 0
25.6  1000  0 1 3
27.6  763  1 1 -3
28.6  476  2 0 1
28.9  649  1 2 0
29.4  620  1 -2 1
29.5  321  0 0 4

No. 2
Diffraction record for SnBiMoO6. The powder diffraction line list is calculated, not measured: it uses a GGA+U-relaxed structure and Cu Kα (weighted mean of Kα1 and Kα2).
Peak positions follow from Bragg's law for the DFT cell and can differ from measured ones.

Cell and atoms:
Unit cell a=4.956 b=4.956 c=10.037 alpha=90.00 beta=90.00 gamma=90.00
Space group P4_2nm (No. 102)
Symmetry-distinct sites (fractional):
Sn  0.000  0.000  0.000 (multiplicity 2)
Bi  0.000  0.000  0.338 (multiplicity 2)
Mo  0.000  0.000  0.669 (multiplicity 2)
O  0.174  0.174  0.828 (multiplicity 4)
O  0.203  0.203  0.516 (multiplicity 4)
O  0.223  0.223  0.148 (multiplicity 4)

Largest 8 diffraction maxima, low angle first, 10° ≤ 2θ ≤ 80°:
two_theta  intensity  hkl
25.4  1000  1 1 0
32.3  892  1 0 3
36.2  254  2 0 0
49.3  696  2 1 3
52.2  172  2 2 0
58.9  172  3 1 0
61.4  172  1 1 6
62.7  201  3 0 3

No. 3
Diffraction record for TlBiMo2O8. The powder diffraction line list is calculated, not measured: it uses a GGA+U-relaxed structure and Cu Kα (weighted mean of Kα1 and Kα2).
Peak positions follow from Bragg's law for the DFT cell and can differ from measured ones.

Cell and atoms:
Unit cell a=5.5865 b=5.5865 c=25.8999 alpha=90.00 beta=90.00 gamma=120.00
Space group R32 (No. 155, hexagonal axes)
Symmetry-distinct sites (fractional):
Tl  0.0000  0.0000  0.0000 (multiplicity 3)
Bi  0.0000  0.0000  0.5000 (multiplicity 3)
Mo  0.0000  0.0000  0.2469 (multiplicity 6)
O  0.0000  0.0000  0.3149 (multiplicity 6)
O  0.0132  0.3755  0.8907 (multiplicity 18)

Largest 8 diffraction maxima, low angle first, 10° ≤ 2θ ≤ 80°:
two_theta  intensity  hkl
22.9  1000  1 0 4
32.0  405  1 1 0
33.3  327  0 1 8
39.8  210  0 2 4
46.9  137  2 0 8
52.0  211  2 1 4
53.7  205  1 1 12
57.9  139  1 2 8

No. 4
Diffraction record for TlBiMo2O8. The powder diffraction line list is calculated, not measured: it uses a GGA+U-relaxed structure and Cu Kα (weighted mean of Kα1 and Kα2).
Peak positions follow from Bragg's law for the DFT cell and can differ from measured ones.

Cell and atoms:
Unit cell a=11.916 b=12.145 c=5.338 alpha=90.00 beta=93.09 gamma=90.00
Space group P2_1/c (No. 14)
Symmetry-distinct sites (fractional):
Tl  0.123  0.122  0.474 (multiplicity 4)
Bi  0.381  0.624  0.988 (multiplicity 4)
Mo  0.158  0.649  0.488 (multiplicity 4)
Mo  0.387  0.115  0.973 (multiplicity 4)
O  0.067  0.729  0.673 (multiplicity 4)
O  0.079  0.551  0.313 (multiplicity 4)
O  0.233  0.563  0.730 (multiplicity 4)
O  0.279  0.197  0.081 (multiplicity 4)
O  0.281  0.708  0.312 (multiplicity 4)
O  0.322  0.028  0.730 (multiplicity 4)
O  0.452  0.039  0.243 (multiplicity 4)
O  0.497  0.200  0.843 (multiplicity 4)

Largest 8 diffraction maxima, low angle first, 10° ≤ 2θ ≤ 80°:
two_theta  intensity  hkl
26.3  1000  2 2 -1
27.3  919  2 2 1
29.4  296  0 4 0
30.0  270  4 0 0
33.6  195  0 0 2
42.5  254  4 4 0
45.3  243  0 4 2
50.9  161  2 6 1

- Which formula does entry 4 have?
  TlBiMo2O8